# Li5Zn3Cu3
Theoretical X-ray diffraction stick pattern, Cu Kα, 1.54184 Å. Input: a structure optimized by DFT (PBE).
Intensities are scaled so that the largest is 100.

Principal peaks in the range 10 to 90 degrees two-theta, low angle first:
hkl 1 0 0, 11.48 deg, I = 83
hkl 1 1 0, 19.95 deg, I = 100
hkl 2 0 0, 23.07 deg, I = 24
hkl 1 0 1, 37.25 deg, I = 38
hkl 1 1 1, 40.88 deg, I = 21
hkl 3 1 0, 42.27 deg, I = 73
hkl 2 1 1, 47.47 deg, I = 44
hkl 3 0 1, 50.50 deg, I = 19
hkl 2 2 1, 54.83 deg, I = 24
hkl 3 2 1, 64.15 deg, I = 20

Atomic structure:
Lattice parameters (Å, degrees): 8.9022 8.9022 2.5418 90.00 90.00 120.00
Space group P-62m (No. 189)
One atom of each set of equivalent atoms:
Li: 0.0000 0.6919 0.0000 (multiplicity 3)
Li: 0.3333 0.6667 0.0000 (multiplicity 2)
Zn: 0.0000 0.3973 0.0000 (multiplicity 3)
Cu: 0.0000 0.1582 0.5000 (multiplicity 3)